Theoretical powder XRD pattern
Compound: Cs3TaS4
Radiation: λ = 1.5418 Å (Cu Kα)
Structure: DFT lattice parameters and positions (PBE)
No peak broadening, texture or thermal motion is included.

Structure:
abc: 10.070 11.822 10.206
angles: 90.00 90.00 90.00
Space group Pnma (No. 62)
Unique sites:
Cs (0.050, 0.042, 0.211) x8
Cs (0.145, 0.750, 0.421) x4
Ta (0.221, 0.750, 0.986) x4
S (0.012, 0.750, 0.074) x4
S (0.168, 0.090, 0.548) x8
S (0.205, 0.750, 0.761) x4

Most intense lines, 10 to 80 degrees two-theta, sorted by position:
| 2θ/deg | d (Å) | I/Imax | h k l |
| --- | --- | --- | --- |
| 14.45 | 6.129 | 47 | 1 1 1 |
| 19.66 | 4.515 | 25 | 2 0 1 |
| 23.02 | 3.863 | 100 | 0 2 2 |
| 23.21 | 3.833 | 77 | 2 2 0 |
| 24.69 | 3.607 | 29 | 1 2 2 |
| 24.84 | 3.585 | 67 | 2 0 2 |
| 28.75 | 3.105 | 75 | 2 3 0 |
| 29.00 | 3.079 | 29 | 3 1 1 |
| 30.10 | 2.969 | 24 | 2 3 1 |
| 30.24 | 2.956 | 33 | 0 4 0 |
| 35.27 | 2.545 | 26 | 2 2 3 |
| 36.28 | 2.476 | 25 | 1 0 4 |